Entry 1:
Starting from a cell relaxed with PBE, the PXRD pattern of LiY3Zr was calculated for CuKα.
Peak positions follow from Bragg's law for the DFT cell and can differ from measured ones.

Structural model:
Unit cell a=5.6231 b=5.6231 c=5.6231 alpha=90.00 beta=90.00 gamma=90.00
Space group Pm-3m (No. 221)
One atom of each set of equivalent atoms:
Li1 0.0000 0.0000 0.0000 [1 per cell]
Y1 0.0000 0.5000 0.5000 [3 per cell]
Zr1 0.5000 0.5000 0.5000 [1 per cell]

Peak list (10 most intense, 10° ≤ 2θ ≤ 90°, in order of rising 2θ)
- d = 5.623 Å, I 100, (1 0 0)
- d = 3.246 Å, I 37, (1 1 1)
- d = 2.812 Å, I 75, (2 0 0)
- d = 2.515 Å, I 51, (2 1 0)
- d = 1.988 Å, I 54, (2 2 0)
- d = 1.874 Å, I 26, (3 0 0)
- d = 1.695 Å, I 16, (3 1 1)
- d = 1.623 Å, I 19, (2 2 2)
- d = 1.257 Å, I 23, (4 2 0)
- d = 1.148 Å, I 17, (4 2 2)

Entry 2:
Starting from a cell relaxed with PBE, the PXRD pattern of LiYZr2 was calculated for CuKα.
Peak positions follow from Bragg's law for the DFT cell and can differ from measured ones.

Structural model:
Unit cell a=3.4469 b=5.2519 c=10.3188 alpha=90.00 beta=90.00 gamma=90.00
Space group Imm2 (No. 44)
One atom of each set of equivalent atoms:
Li1 0.0000 0.0000 0.0000 [2 per cell]
Y1 0.0000 0.5000 0.7329 [2 per cell]
Zr1 0.0000 0.0000 0.5138 [2 per cell]
Zr2 0.0000 0.5000 0.2784 [2 per cell]

Peak list (10 most intense, 10° ≤ 2θ ≤ 90°, in order of rising 2θ)
- d = 5.159 Å, I 13, (0 0 2)
- d = 4.681 Å, I 13, (0 1 1)
- d = 3.269 Å, I 18, (1 0 1)
- d = 2.878 Å, I 33, (0 1 3)
- d = 2.626 Å, I 30, (0 2 0)
- d = 2.580 Å, I 23, (0 0 4)
- d = 2.516 Å, I 100, (1 1 2)
- d = 1.840 Å, I 16, (0 2 4)
- d = 1.494 Å, I 19, (1 3 2)
- d = 1.477 Å, I 18, (1 1 6)

Number 1 is which compound?
LiY3Zr